# 1
# Cd2BiO4
Simulated XRD peak list, Cu Kα. Input: a structure optimized by DFT (GGA-PBE).

Top 10 peaks for 10° ≤ 2θ ≤ 90°, by angle:
2θ/deg  I_rel
26.6  47
31.3  100
32.8  12
47.0  21
50.1  37
54.8  36
64.5  13
75.1  11
77.4  22
89.7  13

Structure:
a b c (Å): 6.6959 6.6959 6.6959
angles (deg): 60.00 60.00 60.00
Sites, in units of the cell vectors:
Cd  0.0000  0.0000  0.0000
Cd  0.0000  0.0000  0.5000
Cd  0.0000  0.5000  0.0000
Cd  0.5000  0.0000  0.0000
Bi  0.3750  0.3750  0.3750
Bi  0.6250  0.6250  0.6250
O  0.2344  0.7552  0.7552
O  0.2448  0.2448  0.2448
O  0.2448  0.2448  0.7656
O  0.2448  0.7656  0.2448
O  0.7552  0.2344  0.7552
O  0.7552  0.7552  0.2344
O  0.7552  0.7552  0.7552
O  0.7656  0.2448  0.2448

***

# 2
# Li2Pd
Simulated XRD peak list, Cu Kα. Input: a structure optimized by DFT (GGA-PBE).

Top 10 peaks for 10° ≤ 2θ ≤ 90°, by angle:
2θ/deg  I_rel
24.5  100
33.1  14
41.6  58
43.1  29
50.2  14
55.4  18
61.4  18
68.2  11
74.9  8
78.0  18

Structure:
a b c (Å): 4.1984 4.1984 2.7052
angles (deg): 90.00 90.00 120.00
Sites, in units of the cell vectors:
Li  0.3333  0.6667  0.0000
Li  0.6667  0.3333  0.0000
Pd  0.0000  0.0000  0.5000

***

# 3
# KTaP2O8
Simulated XRD peak list, Cu Kα. Input: a structure optimized by DFT (GGA-PBE).

Top 10 peaks for 10° ≤ 2θ ≤ 90°, by angle:
2θ/deg  I_rel
11.1  80
21.6  38
22.6  21
26.0  100
28.4  16
37.0  23
37.3  29
43.9  21
60.3  16
60.7  15

Structure:
a b c (Å): 8.4249 8.4249 8.4249
angles (deg): 33.26 33.26 33.26
Sites, in units of the cell vectors:
K  0.0000  0.0000  0.0000
Ta  0.5000  0.5000  0.5000
P  0.2417  0.2417  0.2417
P  0.7583  0.7583  0.7583
O  0.0979  0.7506  0.5040
O  0.2494  0.4960  0.9021
O  0.3038  0.3038  0.3038
O  0.4960  0.9021  0.2494
O  0.5040  0.0979  0.7506
O  0.6962  0.6962  0.6962
O  0.7506  0.5040  0.0979
O  0.9021  0.2494  0.4960

***

# 4
# Ac2Zn15Au2
Simulated XRD peak list, Cu Kα. Input: a structure optimized by DFT (GGA-PBE).

Top 10 peaks for 10° ≤ 2θ ≤ 90°, by angle:
2θ/deg  I_rel
19.2  60
28.5  38
33.5  76
34.5  59
38.9  100
39.1  70
39.8  55
40.0  30
70.5  29
71.6  32

Structure:
a b c (Å): 7.0146 7.0146 7.0146
angles (deg): 82.54 82.54 82.54
Sites, in units of the cell vectors:
Ac  0.1587  0.1587  0.1587
Ac  0.8413  0.8413  0.8413
Zn  0.0000  0.5000  0.5000
Zn  0.1545  0.1545  0.6609
Zn  0.1545  0.6609  0.1545
Zn  0.2158  0.5000  0.7842
Zn  0.2158  0.7842  0.5000
Zn  0.3391  0.8455  0.8455
Zn  0.5000  0.0000  0.5000
Zn  0.5000  0.2158  0.7842
Zn  0.5000  0.5000  0.0000
Zn  0.5000  0.7842  0.2158
Zn  0.6609  0.1545  0.1545
Zn  0.7842  0.2158  0.5000
Zn  0.7842  0.5000  0.2158
Zn  0.8455  0.3391  0.8455
Zn  0.8455  0.8455  0.3391
Au  0.3913  0.3913  0.3913
Au  0.6087  0.6087  0.6087

***

# 5
# BaMgHgSb2
Simulated XRD peak list, Cu Kα. Input: a structure optimized by DFT (GGA-PBE).

Top 10 peaks for 10° ≤ 2θ ≤ 90°, by angle:
2θ/deg  I_rel
10.8  25
21.2  32
23.9  100
30.6  81
37.2  86
39.5  50
48.9  22
50.5  30
63.1  20
68.6  19

Structure:
a b c (Å): 4.8296 4.8296 8.1695
angles (deg): 90.00 90.00 120.00
Sites, in units of the cell vectors:
Ba  0.0000  0.0000  0.0000
Mg  0.3333  0.6667  0.6246
Hg  0.6667  0.3333  0.3687
Sb  0.3333  0.6667  0.2648
Sb  0.6667  0.3333  0.7368

***

# 6
# Y2Ho2CIBr2Cl2
Simulated XRD peak list, Cu Kα. Input: a structure optimized by DFT (GGA-PBE).

Top 10 peaks for 10° ≤ 2θ ≤ 90°, by angle:
2θ/deg  I_rel
10.7  57
16.9  30
21.5  41
28.9  28
31.4  100
31.8  42
32.4  39
36.7  20
45.6  24
45.8  25

Structure:
a b c (Å): 8.7568 8.7568 8.5337
angles (deg): 103.69 103.69 25.29
Sites, in units of the cell vectors:
Y  0.0012  0.0012  0.3093
Y  0.9988  0.9988  0.6907
Ho  0.3569  0.3569  0.4293
Ho  0.6431  0.6431  0.5707
C  0.5000  0.5000  0.5000
I  0.5000  0.5000  0.0000
Br  0.1728  0.1728  0.8237
Br  0.8272  0.8272  0.1763
Cl  0.1712  0.1712  0.3595
Cl  0.8288  0.8288  0.6405

***

# 7
# Zr3Fe4Bi4
Simulated XRD peak list, Cu Kα. Input: a structure optimized by DFT (GGA-PBE).

Top 10 peaks for 10° ≤ 2θ ≤ 90°, by angle:
2θ/deg  I_rel
24.5  72
28.3  54
28.5  27
40.5  51
40.7  100
47.9  25
50.3  23
58.6  17
73.8  34
74.1  17

Structure:
a b c (Å): 7.6776 7.6776 7.6776
angles (deg): 131.57 131.57 70.92
Sites, in units of the cell vectors:
Zr  0.0000  0.0000  0.0000
Zr  0.2500  0.7500  0.5000
Zr  0.7500  0.2500  0.5000
Fe  0.1293  0.6260  0.0000
Fe  0.3740  0.3740  0.5034
Fe  0.6260  0.1293  0.0000
Fe  0.8707  0.8707  0.4966
Bi  0.0000  0.5000  0.5000
Bi  0.2538  0.2538  0.0000
Bi  0.5000  0.0000  0.5000
Bi  0.7462  0.7462  0.0000

***

# 8
# SmAl4GaIr
Simulated XRD peak list, Cu Kα. Input: a structure optimized by DFT (GGA-PBE).

Top 10 peaks for 10° ≤ 2θ ≤ 90°, by angle:
2θ/deg  I_rel
20.6  74
24.2  18
25.4  35
29.3  41
32.9  46
39.1  100
41.9  46
49.6  23
54.3  23
74.7  30

Structure:
a b c (Å): 4.3144 4.3144 7.0112
angles (deg): 90.00 90.00 90.00
Sites, in units of the cell vectors:
Sm  0.0000  0.0000  0.0000
Al  0.0000  0.5000  0.3079
Al  0.0000  0.5000  0.6921
Al  0.5000  0.0000  0.3079
Al  0.5000  0.0000  0.6921
Ga  0.5000  0.5000  0.0000
Ir  0.0000  0.0000  0.5000

***

# 9
# Cu2SiS3
Simulated XRD peak list, Cu Kα. Input: a structure optimized by DFT (GGA-PBE).

Top 10 peaks for 10° ≤ 2θ ≤ 90°, by angle:
2θ/deg  I_rel
16.6  19
22.0  30
29.7  91
31.7  100
33.7  16
33.8  26
43.6  22
47.5  18
48.0  20
54.3  42

Structure:
a b c (Å): 6.4846 6.4846 6.0091
angles (deg): 90.93 90.93 124.74
Sites, in units of the cell vectors:
Cu  0.1211  0.8789  0.5000
Cu  0.3900  0.8747  0.8891
Cu  0.8747  0.3900  0.3891
Cu  0.8789  0.1211  0.0000
Si  0.5516  0.7079  0.3930
Si  0.7079  0.5516  0.8930
S  0.0478  0.9074  0.8598
S  0.2608  0.7276  0.2578
S  0.4106  0.5572  0.7209
S  0.5572  0.4106  0.2209
S  0.7276  0.2608  0.7578
S  0.9074  0.0478  0.3598

***

# 10
# KGaPtO
Simulated XRD peak list, Cu Kα. Input: a structure optimized by DFT (GGA-PBE).

Top 10 peaks for 10° ≤ 2θ ≤ 90°, by angle:
2θ/deg  I_rel
18.5  46
27.9  20
32.3  22
35.0  100
39.8  50
43.7  23
44.8  16
46.3  56
47.8  26
54.0  25

Structure:
a b c (Å): 9.7917 9.7917 4.1406
angles (deg): 90.00 90.00 157.60
Sites, in units of the cell vectors:
K  0.0624  0.9376  0.5000
K  0.9376  0.0624  0.0000
Ga  0.3318  0.6682  0.4933
Ga  0.6682  0.3318  0.9933
Pt  0.2529  0.7471  0.9944
Pt  0.7471  0.2529  0.4944
O  0.4239  0.5761  0.5004
O  0.5761  0.4239  0.0004